KNiBrF2: computed powder diffractogram (λ = 1.5418 Å (Cu Kα)), based on DFT lattice parameters and positions (PBE+U).

Atomic structure:
```
data_KNiBrF2
_chemical_formula_sum 'K4 Ni4 Br4 F8'
_cell_length_a 3.8529
_cell_length_b 13.0826
_cell_length_c 7.4846
_cell_angle_alpha 90.00
_cell_angle_beta 90.00
_cell_angle_gamma 90.00
_symmetry_space_group_name_H-M 'C m c m'
_symmetry_Int_Tables_number 63
_symmetry_space_group_name_Hall '-C 2c 2'
loop_
_atom_site_label
_atom_site_type_symbol
_atom_site_fract_x
_atom_site_fract_y
_atom_site_fract_z
_atom_site_occupancy
K1 K 0.0000 0.2280 0.2500 1
Ni1 Ni 0.0000 0.5000 0.0000 1
Br1 Br 0.0000 0.0361 0.7500 1
F1 F 0.0000 0.3569 0.5405 1
```

Peak list (8 most intense, 5 to 70 degrees two-theta, sorted by position)
(hkl)  2θ (°)  d/Å  Rel. int.
0 2 0  13.5  6.541  63
0 4 0  27.3  3.271  20
0 4 1  29.8  2.997  20
1 3 1  33.3  2.694  31
1 1 2  34.1  2.630  100
1 3 2  39.4  2.286  15
2 0 0  47.2  1.926  16
0 0 4  48.6  1.873  29